Computed powder diffractogram
Compound: Mg5CdBr12
Radiation: Cu Kα, 1.54184 Å
Structure: DFT lattice parameters and positions (PBE)

Top 6 peaks for 10 to 90 degrees two-theta, by angle:
d 7.151, intensity 60; d 3.291, intensity 28; d 3.057, intensity 100; d 2.759, intensity 53; d 2.457, intensity 29; d 1.935, intensity 37

abc: 6.763 11.720 14.302
angles: 90.00 90.12 90.00
Space group C2/m (No. 12)
Unique sites:
Mg: 0.000 0.000 0.000 [2 per cell]
Mg: 0.000 0.167 0.500 [4 per cell]
Mg: 0.000 0.333 0.000 [4 per cell]
Cd: 0.000 0.500 0.500 [2 per cell]
Br: 0.155 0.000 0.608 [4 per cell]
Br: 0.166 0.167 0.895 [8 per cell]
Br: 0.166 0.500 0.895 [4 per cell]
Br: 0.173 0.327 0.608 [8 per cell]

Computed powder diffractogram
Compound: Pr2GaCu3
Radiation: Cu Kα, 1.54184 Å
Structure: DFT lattice parameters and positions (PBE)

Top 6 peaks for 10 to 90 degrees two-theta, by angle:
d 3.812, intensity 14; d 2.670, intensity 100; d 2.201, intensity 50; d 1.698, intensity 25; d 1.425, intensity 24; d 1.345, intensity 22

abc: 3.740 4.405 7.618
angles: 90.00 90.00 90.00
Space group Pmm2 (No. 25)
Unique sites:
Pr: 0.000 0.000 0.000 [1 per cell]
Pr: 0.000 0.500 0.482 [1 per cell]
Ga: 0.500 0.500 0.819 [1 per cell]
Cu: 0.500 0.000 0.327 [1 per cell]
Cu: 0.500 0.000 0.660 [1 per cell]
Cu: 0.500 0.500 0.155 [1 per cell]

Computed powder diffractogram
Compound: CuBi2Pd4
Radiation: Cu Kα, 1.54184 Å
Structure: DFT lattice parameters and positions (PBE)

Top 6 peaks for 10 to 90 degrees two-theta, by angle:
d 3.291, intensity 46; d 2.973, intensity 29; d 2.384, intensity 100; d 2.327, intensity 65; d 1.664, intensity 25; d 1.355, intensity 28

abc: 4.655 4.655 13.858
angles: 90.00 90.00 90.00
Space group I4/mmm (No. 139)
Unique sites:
Cu: 0.000 0.000 0.000 [2 per cell]
Bi: 0.000 0.000 0.370 [4 per cell]
Pd: 0.000 0.000 0.178 [4 per cell]
Pd: 0.000 0.500 0.000 [4 per cell]

Computed powder diffractogram
Compound: Nb3Mo2
Radiation: Cu Kα, 1.54184 Å
Structure: DFT lattice parameters and positions (PBE)

Top 6 peaks for 10 to 90 degrees two-theta, by angle:
d 2.299, intensity 100; d 2.292, intensity 50; d 1.621, intensity 16; d 1.328, intensity 16; d 1.325, intensity 33; d 1.149, intensity 10

abc: 3.241 3.241 16.299
angles: 90.00 90.00 90.00
Space group I4/mmm (No. 139)
Unique sites:
Nb: 0.000 0.000 0.000 [2 per cell]
Nb: 0.000 0.000 0.196 [4 per cell]
Mo: 0.000 0.000 0.400 [4 per cell]

Computed powder diffractogram
Compound: Th2In3Ru2
Radiation: Cu Kα, 1.54184 Å
Structure: DFT lattice parameters and positions (PBE)

Top 6 peaks for 10 to 90 degrees two-theta, by angle:
d 6.450, intensity 43; d 3.319, intensity 31; d 2.729, intensity 100; d 2.580, intensity 41; d 1.985, intensity 30; d 1.980, intensity 29

abc: 3.892 3.872 13.039
angles: 90.00 98.37 90.00
Space group P2/m (No. 10)
Unique sites:
Th: 0.105 0.000 0.206 [2 per cell]
In: 0.292 0.500 0.586 [2 per cell]
In: 0.500 0.500 0.000 [1 per cell]
Ru: 0.394 0.500 0.793 [2 per cell]

- What is the formula in the fourth record?
  Nb3Mo2